Nb2CuN: computed X-ray diffraction stick pattern (Cu Kα, 1.54184 Å), based on a PBE-relaxed structure.
Peak positions follow from Bragg's law for the DFT cell and can differ from measured ones.

Cell and atoms:
Cell lengths 3.1479, 3.1479, 12.9964 Å; angles 90.00, 90.00, 120.00 degrees
Space group P6_3/mmc (No. 194)
Asymmetric unit:
Nb 0.3333 0.6667 0.0905
Cu 0.3333 0.6667 0.7500
N 0.0000 0.0000 0.0000

The 10 most intense peaks (2θ from 10° to 80°), most intense first:
2θ 39.04, I = 100.0, hkl 1 0 3
2θ 32.85, I = 21.9, hkl 1 0 0
2θ 58.66, I = 21.3, hkl 1 1 0
2θ 74.52, I = 16.4, hkl 1 1 6
2θ 41.70, I = 15.9, hkl 0 0 6
2θ 72.73, I = 15.4, hkl 2 0 3
2θ 54.08, I = 14.2, hkl 1 0 6
2θ 74.33, I = 12.5, hkl 1 0 9
2θ 13.63, I = 3.7, hkl 0 0 2
2θ 33.59, I = 2.6, hkl 1 0 1

---

Nb2CuN: computed X-ray diffraction stick pattern (Cu Kα, 1.54184 Å), based on a PBE-relaxed structure.
Peak positions follow from Bragg's law for the DFT cell and can differ from measured ones.

Cell and atoms:
Cell lengths 9.3422, 5.3435, 13.4809 Å; angles 90.00, 103.61, 90.00 degrees
Space group C2/c (No. 15)
Asymmetric unit:
Nb 0.0387 0.0808 0.3755
Nb 0.1097 0.4112 0.5829
Nb 0.2245 0.4158 0.9168
Cu 0.0000 0.4375 0.7500
Cu 0.2359 0.1496 0.7503
N 0.0749 0.2234 0.0004
N 0.2500 0.2500 0.5000

The 10 most intense peaks (2θ from 10° to 80°), most intense first:
2θ 39.26, I = 100.0, hkl 3 1 -4
2θ 39.54, I = 97.6, hkl 0 2 3
2θ 39.40, I = 94.2, hkl 3 1 2
2θ 41.35, I = 45.9, hkl 0 0 6
2θ 34.02, I = 39.2, hkl 3 1 -2
2θ 33.30, I = 35.0, hkl 3 1 -1
2θ 59.82, I = 29.8, hkl 3 3 -1
2θ 43.67, I = 27.7, hkl 1 1 -6
2θ 70.35, I = 24.7, hkl 6 2 -3
2θ 40.58, I = 23.1, hkl 2 2 1

---

Nb4TlCuN2: computed X-ray diffraction stick pattern (Cu Kα, 1.54184 Å), based on a PBE-relaxed structure.
Peak positions follow from Bragg's law for the DFT cell and can differ from measured ones.

Cell and atoms:
Cell lengths 3.2017, 3.2017, 13.5696 Å; angles 90.00, 90.00, 120.00 degrees
Space group P-6m2 (No. 187)
Asymmetric unit:
Nb 0.0000 0.0000 0.1506
Nb 0.6667 0.3333 0.3192
Tl 0.0000 0.0000 0.5000
Cu 0.6667 0.3333 0.0000
N 0.3333 0.6667 0.2333

The 10 most intense peaks (2θ from 10° to 80°), most intense first:
2θ 38.07, I = 100.0, hkl 1 0 3
2θ 71.15, I = 26.0, hkl 2 0 3
2θ 32.29, I = 25.9, hkl 1 0 0
2θ 57.58, I = 21.7, hkl 1 1 0
2θ 72.31, I = 15.9, hkl 1 1 6
2θ 39.86, I = 15.5, hkl 0 0 6
2θ 52.19, I = 14.4, hkl 1 0 6
2θ 34.96, I = 13.4, hkl 1 0 2
2θ 32.99, I = 9.2, hkl 0 0 5
2θ 64.39, I = 8.0, hkl 1 0 8

---

Nb4ZnCuN2: computed X-ray diffraction stick pattern (Cu Kα, 1.54184 Å), based on a PBE-relaxed structure.
Peak positions follow from Bragg's law for the DFT cell and can differ from measured ones.

Cell and atoms:
Cell lengths 3.1509, 3.1509, 13.1968 Å; angles 90.00, 90.00, 120.00 degrees
Space group P-6m2 (No. 187)
Asymmetric unit:
Nb 0.0000 0.0000 0.1571
Nb 0.3333 0.6667 0.3348
Zn 0.0000 0.0000 0.5000
Cu 0.3333 0.6667 0.0000
N 0.6667 0.3333 0.2455

The 10 most intense peaks (2θ from 10° to 80°), most intense first:
2θ 38.84, I = 100.0, hkl 1 0 3
2θ 32.82, I = 21.6, hkl 1 0 0
2θ 58.59, I = 21.1, hkl 1 1 0
2θ 74.01, I = 16.6, hkl 1 1 6
2θ 41.04, I = 16.5, hkl 0 0 6
2θ 72.54, I = 14.8, hkl 2 0 3
2θ 53.51, I = 14.6, hkl 1 0 6
2θ 73.29, I = 13.0, hkl 1 0 9
2θ 13.42, I = 4.4, hkl 0 0 2
2θ 68.81, I = 2.5, hkl 2 0 0

---

Sr8Cu3Pb4N5: computed X-ray diffraction stick pattern (Cu Kα, 1.54184 Å), based on a PBE-relaxed structure.
Peak positions follow from Bragg's law for the DFT cell and can differ from measured ones.

Cell and atoms:
Cell lengths 3.8618, 13.0613, 18.5821 Å; angles 90.00, 90.00, 90.00 degrees
Space group Immm (No. 71)
Asymmetric unit:
Sr 0.0000 0.1406 0.1021
Sr 0.0000 0.1550 0.2947
Cu 0.0000 0.5000 0.2983
Cu 0.0000 0.5000 0.5000
Pb 0.0000 0.1739 0.5000
Pb 0.0000 0.5000 0.0807
N 0.0000 0.0000 0.0000
N 0.0000 0.3538 0.2991

The 10 most intense peaks (2θ from 10° to 80°), most intense first:
2θ 30.95, I = 100.0, hkl 1 3 0
2θ 33.46, I = 88.7, hkl 1 0 5
2θ 31.65, I = 87.1, hkl 0 3 5
2θ 54.31, I = 33.4, hkl 1 6 5
2θ 57.83, I = 31.6, hkl 2 3 5
2θ 27.25, I = 25.5, hkl 1 2 1
2θ 59.11, I = 21.4, hkl 1 3 10
2θ 41.48, I = 21.2, hkl 0 6 0
2θ 47.06, I = 19.0, hkl 2 0 0
2θ 64.51, I = 14.4, hkl 2 6 0

---

Cu11PdN4: computed X-ray diffraction stick pattern (Cu Kα, 1.54184 Å), based on a PBE-relaxed structure.
Peak positions follow from Bragg's law for the DFT cell and can differ from measured ones.

Cell and atoms:
Cell lengths 7.4174, 7.4174, 7.7662 Å; angles 90.00, 90.00, 90.00 degrees
Space group P4/mmm (No. 123)
Asymmetric unit:
Cu 0.0000 0.0000 0.2315
Cu 0.0000 0.2533 0.5000
Cu 0.2360 0.5000 0.0000
Cu 0.2418 0.2418 0.2316
Cu 0.2445 0.5000 0.5000
Pd 0.5000 0.5000 0.2478
N 0.0000 0.0000 0.0000
N 0.0000 0.0000 0.5000
N 0.0000 0.5000 0.0000
N 0.0000 0.5000 0.5000
N 0.5000 0.5000 0.0000
N 0.5000 0.5000 0.5000

The 10 most intense peaks (2θ from 10° to 80°), most intense first:
2θ 41.55, I = 100.0, hkl 2 2 2
2θ 49.13, I = 38.0, hkl 4 0 0
2θ 70.18, I = 21.8, hkl 4 0 4
2θ 46.79, I = 20.9, hkl 0 0 4
2θ 16.90, I = 19.5, hkl 1 1 0
2θ 28.60, I = 16.7, hkl 1 1 2
2θ 11.93, I = 12.9, hkl 1 0 0
2θ 72.02, I = 10.6, hkl 4 4 0
2θ 11.39, I = 8.6, hkl 0 0 1
2θ 35.60, I = 8.1, hkl 2 1 2

---

Cu11PdN4: computed X-ray diffraction stick pattern (Cu Kα, 1.54184 Å), based on a PBE-relaxed structure.
Peak positions follow from Bragg's law for the DFT cell and can differ from measured ones.

Cell and atoms:
Cell lengths 7.4503, 7.4503, 3.7491 Å; angles 90.00, 90.00, 90.00 degrees
Space group P4/mmm (No. 123)
Asymmetric unit:
Cu 0.0000 0.0000 0.0000
Cu 0.0000 0.2563 0.5000
Cu 0.0000 0.5000 0.0000
Cu 0.2548 0.2548 0.0000
Pd 0.5000 0.5000 0.0000
N 0.0000 0.0000 0.5000
N 0.0000 0.5000 0.5000
N 0.5000 0.5000 0.5000

The 10 most intense peaks (2θ from 10° to 80°), most intense first:
2θ 41.92, I = 100.0, hkl 2 2 1
2θ 48.90, I = 38.9, hkl 4 0 0
2θ 71.39, I = 22.6, hkl 4 0 2
2θ 48.57, I = 20.1, hkl 0 0 2
2θ 34.04, I = 18.6, hkl 2 2 0
2θ 26.62, I = 16.8, hkl 1 0 1
2θ 26.76, I = 15.5, hkl 2 1 0
2θ 11.88, I = 11.8, hkl 1 0 0
2θ 23.73, I = 11.3, hkl 0 0 1
2θ 71.65, I = 11.1, hkl 4 4 0

---

CuPd3N6: computed X-ray diffraction stick pattern (Cu Kα, 1.54184 Å), based on a PBE-relaxed structure.
Peak positions follow from Bragg's law for the DFT cell and can differ from measured ones.

Cell and atoms:
Cell lengths 6.7922, 11.0532, 3.0587 Å; angles 90.00, 90.00, 90.00 degrees
Space group Cmmm (No. 65)
Asymmetric unit:
Cu 0.0000 0.0000 0.0000
Pd 0.0000 0.5000 0.0000
Pd 0.2500 0.2500 0.5000
N 0.0000 0.1138 0.5000
N 0.0939 0.3247 0.0000

The 10 most intense peaks (2θ from 10° to 80°), most intense first:
2θ 30.90, I = 100.0, hkl 2 2 0
2θ 33.48, I = 69.4, hkl 0 2 1
2θ 39.66, I = 50.9, hkl 2 0 1
2θ 52.10, I = 50.7, hkl 2 4 1
2θ 32.40, I = 36.4, hkl 0 4 0
2θ 65.05, I = 25.1, hkl 4 2 1
2θ 58.49, I = 20.6, hkl 0 6 1
2θ 69.52, I = 18.5, hkl 2 2 2
2θ 56.86, I = 18.4, hkl 2 6 0
2θ 64.40, I = 11.4, hkl 4 4 0

---

Sm3Cu4N4: computed X-ray diffraction stick pattern (Cu Kα, 1.54184 Å), based on a PBE-relaxed structure.
Peak positions follow from Bragg's law for the DFT cell and can differ from measured ones.

Cell and atoms:
Cell lengths 3.6027, 3.6027, 13.1458 Å; angles 90.00, 90.00, 120.00 degrees
Space group P-3m1 (No. 164)
Asymmetric unit:
Sm 0.0000 0.0000 0.0000
Sm 0.0000 0.0000 0.2962
Cu 0.3333 0.6667 0.1421
Cu 0.3333 0.6667 0.5496
N 0.3333 0.6667 0.3864
N 0.3333 0.6667 0.8567

The 10 most intense peaks (2θ from 10° to 80°), most intense first:
2θ 35.31, I = 100.0, hkl 1 0 3
2θ 50.68, I = 44.1, hkl 1 1 0
2θ 39.84, I = 34.9, hkl 0 1 4
2θ 28.61, I = 28.7, hkl 1 0 0
2θ 31.75, I = 22.2, hkl 1 0 2
2θ 72.74, I = 20.6, hkl 1 1 7
2θ 63.28, I = 17.9, hkl 0 2 3
2θ 45.09, I = 14.5, hkl 0 1 5
2θ 79.04, I = 13.0, hkl 0 1 10
2θ 48.47, I = 12.0, hkl 0 0 7

---

Sr6Cu3N5: computed X-ray diffraction stick pattern (Cu Kα, 1.54184 Å), based on a PBE-relaxed structure.
Peak positions follow from Bragg's law for the DFT cell and can differ from measured ones.

Cell and atoms:
Cell lengths 8.6423, 8.6423, 7.3099 Å; angles 90.00, 90.00, 90.00 degrees
Space group P4_2mc (No. 105)
Asymmetric unit:
Sr 0.0000 0.0000 0.0000
Sr 0.0000 0.5000 0.0201
Sr 0.2662 0.3026 0.7091
Cu 0.0000 0.3592 0.4316
Cu 0.5000 0.5000 0.4688
N 0.0000 0.2194 0.2363
N 0.0000 0.5000 0.6314
N 0.2866 0.5000 0.9810

The 10 most intense peaks (2θ from 10° to 80°), most intense first:
2θ 32.07, I = 100.0, hkl 2 0 2
2θ 29.23, I = 39.5, hkl 2 2 0
2θ 31.04, I = 20.3, hkl 3 0 0
2θ 53.65, I = 19.9, hkl 4 2 2
2θ 41.81, I = 18.8, hkl 4 0 0
2θ 45.24, I = 17.4, hkl 3 2 2
2θ 23.92, I = 11.8, hkl 2 0 1
2θ 54.55, I = 11.3, hkl 4 3 1
2θ 38.39, I = 10.7, hkl 1 0 3
2θ 39.57, I = 10.6, hkl 3 2 1

---

Sr8Tl4Cu3N5: computed X-ray diffraction stick pattern (Cu Kα, 1.54184 Å), based on a PBE-relaxed structure.
Peak positions follow from Bragg's law for the DFT cell and can differ from measured ones.

Cell and atoms:
Cell lengths 3.8528, 12.4898, 18.9842 Å; angles 90.00, 90.00, 90.00 degrees
Space group Immm (No. 71)
Asymmetric unit:
Sr 0.0000 0.1487 0.2108
Sr 0.0000 0.1514 0.4016
Tl 0.0000 0.1578 0.0000
Tl 0.0000 0.5000 0.4128
Cu 0.0000 0.5000 0.0000
Cu 0.0000 0.5000 0.1926
N 0.0000 0.0000 0.5000
N 0.0000 0.3486 0.1943

The 10 most intense peaks (2θ from 10° to 80°), most intense first:
2θ 33.12, I = 100.0, hkl 1 0 5
2θ 31.64, I = 94.5, hkl 1 3 0
2θ 31.90, I = 86.7, hkl 0 3 5
2θ 55.73, I = 33.2, hkl 1 6 5
2θ 58.08, I = 31.5, hkl 2 3 5
2θ 58.57, I = 24.7, hkl 1 3 10
2θ 43.48, I = 20.1, hkl 0 6 0
2θ 47.18, I = 18.3, hkl 2 0 0
2θ 47.92, I = 13.4, hkl 0 0 10
2θ 66.07, I = 12.8, hkl 2 6 0

---

Na2NbCuS4: computed X-ray diffraction stick pattern (Cu Kα, 1.54184 Å), based on a PBE-relaxed structure.
Peak positions follow from Bragg's law for the DFT cell and can differ from measured ones.

Cell and atoms:
Cell lengths 6.7698, 6.7698, 5.5397 Å; angles 90.00, 90.00, 90.00 degrees
Space group P-42m (No. 111)
Asymmetric unit:
Na 0.0000 0.5000 0.0000
Nb 0.0000 0.0000 0.0000
Cu 0.0000 0.0000 0.5000
S 0.1953 0.1953 0.7533

The 10 most intense peaks (2θ from 10° to 80°), most intense first:
2θ 13.08, I = 100.0, hkl 1 0 0
2θ 42.16, I = 24.0, hkl 2 0 2
2θ 18.54, I = 17.2, hkl 1 1 0
2θ 37.57, I = 17.0, hkl 2 2 0
2θ 24.58, I = 15.7, hkl 1 1 1
2θ 44.32, I = 15.6, hkl 2 1 2
2θ 29.50, I = 10.5, hkl 2 1 0
2θ 48.48, I = 9.4, hkl 3 2 0
2θ 52.29, I = 8.9, hkl 3 0 2
2θ 54.16, I = 8.1, hkl 4 0 0